Diffraction record for HoPd7Au2. The powder X-ray diffraction pattern is simulated, not measured: it uses a crystal structure in Alexandria, relaxed with GGA-PBE and Cu Kα (weighted mean of Kα1 and Kα2).

a = 7.247 Å, b = 13.420 Å, c = 4.475 Å
α = 90.00°, β = 90.00°, γ = 90.00°
Space group Cmmm (No. 65)
Inequivalent atoms, fractional coordinates:
1 Ho 0.000 0.000 0.000 (multiplicity 2)
2 Pd 0.000 0.196 0.000 (multiplicity 4)
3 Pd 0.000 0.500 0.500 (multiplicity 2)
4 Pd 0.181 0.106 0.500 (multiplicity 8)
5 Au 0.000 0.299 0.500 (multiplicity 4)

The 6 most intense peaks (10 to 90 degrees two-theta), sorted by position:
- 2θ = 19.84°, intensity 45
- 2θ = 24.30°, intensity 36
- 2θ = 24.57°, intensity 31
- 2θ = 40.31°, intensity 42
- 2θ = 41.15°, intensity 100
- 2θ = 43.08°, intensity 49